Entry 1:
TmAsRh2: computed X-ray diffraction stick pattern (a wavelength of 1.5418 Å), based on a structure optimized by DFT (GGA-PBE).

Crystal structure
```
TmAsRh2
1.0
4.270 0.000 0.000
0.000 5.713 0.000
0.000 0.000 5.838
Tm As Rh
2 2 4
Direct
0.250 0.250 0.120
0.750 0.750 0.880
0.250 0.750 0.310
0.750 0.250 0.690
0.250 0.012 0.657
0.250 0.488 0.657
0.750 0.512 0.343
0.750 0.988 0.343
```

The 10 most intense peaks (2θ from 5° to 70°), sorted by position:
2θ/deg  I (rel.)
26.05  14
30.29  36
34.50  34
34.97  26
37.32  48
41.04  100
42.34  37
55.10  10
55.72  17
56.04  13

---

Entry 2:
Ta2CuMo: computed X-ray diffraction stick pattern (a wavelength of 1.5418 Å), based on a structure optimized by DFT (GGA-PBE).

Crystal structure
```
Ta2CuMo
1.0
2.734 0.000 0.000
0.000 4.632 0.000
-0.781 0.000 5.164
Ta Cu Mo
2 1 1
Direct
0.000 0.000 0.000
0.267 0.500 0.726
0.712 0.500 0.229
0.530 0.000 0.504
```

The 10 most intense peaks (2θ from 5° to 70°), sorted by position:
2θ/deg  I (rel.)
17.17  16
25.84  16
38.57  8
38.89  37
39.95  100
40.29  66
42.79  3
44.77  3
56.93  23
59.16  10

---

Entry 3:
Tm4SnTe5: computed X-ray diffraction stick pattern (a wavelength of 1.5418 Å), based on a structure optimized by DFT (GGA-PBE).

Crystal structure
```
Tm4SnTe5
1.0
9.703 -2.103 0.000
9.703 2.103 0.000
-2.532 0.000 8.660
Tm Sn Te
4 1 5
Direct
0.005 0.005 0.241
0.328 0.328 0.420
0.672 0.672 0.580
0.995 0.995 0.759
0.500 0.500 0.500
0.152 0.152 0.801
0.167 0.167 0.331
0.500 0.500 0.000
0.833 0.833 0.669
0.848 0.848 0.199
```

The 10 most intense peaks (2θ from 5° to 70°), sorted by position:
2θ/deg  I (rel.)
10.21  27
15.81  15
28.76  48
29.04  100
40.01  22
40.58  39
42.06  33
43.00  19
52.56  18
60.19  12

---

Entry 4:
Tc2Sb6Pt: computed X-ray diffraction stick pattern (a wavelength of 1.5418 Å), based on a structure optimized by DFT (GGA-PBE).

Crystal structure
```
Tc2Sb6Pt
1.0
6.485 0.000 0.000
-3.243 5.616 0.000
0.000 0.000 5.930
Tc Sb Pt
2 6 1
Direct
0.333 0.667 0.000
0.667 0.333 0.000
0.000 0.363 0.287
0.000 0.637 0.713
0.363 0.000 0.287
0.363 0.363 0.713
0.637 0.000 0.713
0.637 0.637 0.287
0.000 0.000 0.500
```

The 10 most intense peaks (2θ from 5° to 70°), sorted by position:
2θ/deg  I (rel.)
21.80  53
31.44  100
35.37  22
41.26  76
45.38  24
48.63  45
54.36  15
59.07  13
61.55  9
65.63  17

---

Entry 5:
HfMgSe: computed X-ray diffraction stick pattern (a wavelength of 1.5418 Å), based on a structure optimized by DFT (GGA-PBE).

Crystal structure
```
HfMgSe
1.0
3.537 0.000 0.000
0.000 3.537 0.000
0.000 0.000 11.204
Hf Mg Se
2 2 2
Direct
0.000 0.000 0.000
0.500 0.500 0.166
0.000 0.000 0.518
0.500 0.500 0.818
0.000 0.000 0.274
0.500 0.500 0.574
```

The 10 most intense peaks (2θ from 5° to 70°), sorted by position:
2θ/deg  I (rel.)
7.89  100
15.82  16
29.87  29
34.94  39
35.90  36
36.82  12
41.11  24
51.69  13
63.90  16
68.07  11

---

Entry 6:
MnBr2N: computed X-ray diffraction stick pattern (a wavelength of 1.5418 Å), based on a structure optimized by DFT (GGA-PBE).

Crystal structure
```
MnBr2N
1.0
3.896 0.000 0.000
0.000 6.747 0.000
-0.004 -2.702 9.437
Mn Br N
2 4 2
Direct
0.000 0.000 0.000
0.500 0.500 0.000
0.000 0.731 0.160
0.499 0.770 0.840
0.500 0.230 0.160
0.999 0.270 0.840
0.493 0.998 0.499
0.993 0.500 0.501
```

The 10 most intense peaks (2θ from 5° to 70°), sorted by position:
2θ/deg  I (rel.)
9.37  100
28.37  7
28.79  13
29.61  32
30.52  7
33.80  12
35.05  20
43.73  9
46.66  18
52.18  7

---

Entry 7:
Y3Tl2Ag: computed X-ray diffraction stick pattern (a wavelength of 1.5418 Å), based on a structure optimized by DFT (GGA-PBE).

Crystal structure
```
Y3Tl2Ag
1.0
5.303 0.000 0.000
-2.651 4.592 0.000
0.000 0.000 13.035
Y Tl Ag
6 4 2
Direct
0.000 0.000 0.246
0.000 0.000 0.754
0.333 0.667 0.412
0.333 0.667 0.918
0.667 0.333 0.082
0.667 0.333 0.588
0.000 0.000 0.000
0.000 0.000 0.500
0.333 0.667 0.673
0.667 0.333 0.327
0.333 0.667 0.168
0.667 0.333 0.832
```

The 10 most intense peaks (2θ from 5° to 70°), sorted by position:
2θ/deg  I (rel.)
20.49  3
23.70  12
33.77  100
39.81  1
41.71  3
48.50  18
54.61  2
54.73  3
60.27  9
60.44  28

---

Entry 8:
Tm2PaTe2N2: computed X-ray diffraction stick pattern (a wavelength of 1.5418 Å), based on a structure optimized by DFT (GGA-PBE).

Crystal structure
```
Tm2PaTe2N2
1.0
-2.188 2.188 8.096
2.188 -2.188 8.096
2.188 2.188 -8.096
Tm Pa Te N
2 1 2 2
Direct
0.104 0.104 0.000
0.896 0.896 0.000
0.500 0.500 0.000
0.313 0.313 0.000
0.687 0.687 0.000
0.000 0.500 0.500
0.500 0.000 0.500
```

The 10 most intense peaks (2θ from 5° to 70°), sorted by position:
2θ/deg  I (rel.)
10.93  16
26.22  5
28.85  78
34.45  100
41.26  34
54.80  54
56.87  5
59.77  12
65.01  13
67.70  14

---

Entry 9:
La6Ag2O: computed X-ray diffraction stick pattern (a wavelength of 1.5418 Å), based on a structure optimized by DFT (GGA-PBE).

Crystal structure
```
La6Ag2O
1.0
6.706 0.000 0.000
0.000 7.459 0.000
-6.549 0.000 10.751
La Ag O
12 4 2
Direct
0.108 0.026 0.239
0.108 0.474 0.739
0.213 0.704 0.050
0.213 0.796 0.550
0.371 0.177 0.045
0.371 0.323 0.545
0.629 0.677 0.455
0.629 0.823 0.955
0.787 0.204 0.450
0.787 0.296 0.950
0.892 0.526 0.261
0.892 0.974 0.761
0.330 0.100 0.746
0.330 0.400 0.246
0.670 0.600 0.754
0.670 0.900 0.254
0.000 0.000 0.000
0.000 0.500 0.500
```

The 10 most intense peaks (2θ from 5° to 70°), sorted by position:
2θ/deg  I (rel.)
28.06  25
29.16  100
30.28  35
30.52  58
30.89  20
32.01  27
32.22  28
33.34  33
33.52  24
33.92  23

---

Entry 10:
La4Sm5Y: computed X-ray diffraction stick pattern (a wavelength of 1.5418 Å), based on a structure optimized by DFT (GGA-PBE).

Crystal structure
```
La4Sm5Y
1.0
5.971 -2.825 0.000
5.971 2.825 0.000
-0.035 0.000 10.626
La Sm Y
4 5 1
Direct
0.046 0.046 0.249
0.317 0.317 0.250
0.683 0.683 0.750
0.954 0.954 0.751
0.196 0.196 0.564
0.196 0.196 0.936
0.500 0.500 0.500
0.804 0.804 0.064
0.804 0.804 0.436
0.500 0.500 0.000
```

The 10 most intense peaks (2θ from 5° to 70°), sorted by position:
2θ/deg  I (rel.)
24.17  13
30.72  78
31.12  29
31.68  47
32.26  100
33.74  12
45.00  21
55.83  14
56.79  21
62.74  10

---

Entry 11:
Pm2SeClF2: computed X-ray diffraction stick pattern (a wavelength of 1.5418 Å), based on a structure optimized by DFT (GGA-PBE).

Crystal structure
```
Pm2SeClF2
1.0
4.097 0.000 0.000
-2.049 3.548 0.000
0.000 0.000 8.171
Pm Se Cl F
2 1 1 2
Direct
0.333 0.667 0.227
0.667 0.333 0.773
0.000 0.000 0.000
0.000 0.000 0.500
0.333 0.667 0.728
0.667 0.333 0.272
```

The 10 most intense peaks (2θ from 5° to 70°), sorted by position:
2θ/deg  I (rel.)
10.83  17
21.75  25
27.40  96
33.45  100
41.81  33
44.21  55
49.79  16
52.80  17
56.55  21
64.41  27